(1)
Computed powder X-ray diffraction pattern of HoTmCo2Te2 for Cu Kα, 1.54184 Å, from a PBE-relaxed structure.
Peak positions follow from Bragg's law for the DFT cell and can differ from measured ones.

Most intense lines, 2θ = 15–90°, by intensity:
- 40.83°, d 2.210, I = 100
- 28.56°, d 3.125, I = 54
- 74.34°, d 1.276, I = 33
- 66.95°, d 1.398, I = 20
- 59.12°, d 1.563, I = 17
- 50.58°, d 1.804, I = 15
- 24.67°, d 3.609, I = 12
- 88.48°, d 1.105, I = 11
- 48.29°, d 1.885, I = 6
- 65.04°, d 1.434, I = 2
- 79.71°, d 1.203, I = 2

Structural model:
Unit cell a=8.8397 b=4.4200 c=13.2594 alpha=90.00 beta=109.47 gamma=90.00
Fractional coordinates of all 24 atoms:
Ho 0.0000 0.0000 0.0000
Ho 0.1251 0.5000 0.7500
Ho 0.2500 0.0000 0.4999
Ho 0.7498 0.0000 0.4997
Tm 0.3749 0.5000 0.2499
Tm 0.4999 0.0000 0.9999
Tm 0.6249 0.5000 0.7500
Tm 0.8749 0.5000 0.2497
Co 0.0628 0.5000 0.1258
Co 0.1888 0.0000 0.8755
Co 0.3137 0.5000 0.6253
Co 0.4370 0.0000 0.3740
Co 0.5624 0.5000 0.1249
Co 0.6863 0.0000 0.8746
Co 0.8116 0.5000 0.6253
Co 0.9369 0.0000 0.3740
Te 0.9996 0.5000 0.4992
Te 0.1249 0.0000 0.2498
Te 0.2515 0.5000 0.0006
Te 0.3764 0.0000 0.7505
Te 0.4999 0.5000 0.4998
Te 0.6246 0.0000 0.2492
Te 0.7488 0.5000 0.9999
Te 0.8738 0.0000 0.7500

---

(2)
Computed powder X-ray diffraction pattern of Ga8Cu for Cu Kα, 1.54184 Å, from a PBE-relaxed structure.
Peak positions follow from Bragg's law for the DFT cell and can differ from measured ones.

Most intense lines, 2θ = 15–90°, by intensity:
- 38.45°, d 2.341, I = 100
- 33.03°, d 2.712, I = 76
- 39.00°, d 2.309, I = 50
- 46.47°, d 1.954, I = 28
- 37.63°, d 2.390, I = 24
- 62.23°, d 1.492, I = 23
- 63.39°, d 1.467, I = 21
- 60.16°, d 1.538, I = 18
- 49.24°, d 1.851, I = 16
- 48.34°, d 1.883, I = 13
- 73.61°, d 1.287, I = 13
- 45.65°, d 1.987, I = 12

Structural model:
Unit cell a=6.1650 b=6.1650 c=6.1650 alpha=123.38 beta=104.70 gamma=101.31
Fractional coordinates of all 9 atoms:
Ga 0.1842 0.0000 0.1842
Ga 0.2219 0.5000 0.7219
Ga 0.2622 0.0297 0.7676
Ga 0.2622 0.4946 0.2324
Ga 0.7378 0.5054 0.7676
Ga 0.7378 0.9703 0.2324
Ga 0.7781 0.5000 0.2781
Ga 0.8158 0.0000 0.8158
Cu 0.5000 0.0000 0.5000

---

(3)
Computed powder X-ray diffraction pattern of Mg2Sc2ZnAg3 for Cu Kα, 1.54184 Å, from a PBE-relaxed structure.
Peak positions follow from Bragg's law for the DFT cell and can differ from measured ones.

Most intense lines, 2θ = 15–90°, by intensity:
- 37.87°, d 2.376, I = 100
- 68.39°, d 1.372, I = 32
- 26.53°, d 3.360, I = 30
- 54.63°, d 1.680, I = 16
- 61.73°, d 1.503, I = 11
- 80.92°, d 1.188, I = 10
- 46.83°, d 1.940, I = 9
- 86.99°, d 1.120, I = 5
- 22.92°, d 3.880, I = 3
- 44.72°, d 2.026, I = 1
- 18.67°, d 4.753, I = 1
- 29.72°, d 3.006, I = 1

Structural model:
Unit cell a=4.7530 b=4.7530 c=6.7176 alpha=90.00 beta=90.00 gamma=90.00
Fractional coordinates of all 8 atoms:
Mg 0.0000 0.5000 0.2487
Mg 0.5000 0.0000 0.7513
Sc 0.0000 0.5000 0.7545
Sc 0.5000 0.0000 0.2455
Zn 0.5000 0.5000 0.0000
Ag 0.0000 0.0000 0.0000
Ag 0.0000 0.0000 0.5000
Ag 0.5000 0.5000 0.5000

---

(4)
Computed powder X-ray diffraction pattern of Ni2WC8N8 for Cu Kα, 1.54184 Å, from a PBE-relaxed structure.
Peak positions follow from Bragg's law for the DFT cell and can differ from measured ones.

Most intense lines, 2θ = 15–90°, by intensity:
- 21.65°, d 4.106, I = 100
- 18.20°, d 4.875, I = 88
- 19.71°, d 4.503, I = 58
- 38.79°, d 2.321, I = 39
- 26.16°, d 3.406, I = 24
- 38.18°, d 2.357, I = 23
- 36.88°, d 2.437, I = 23
- 23.36°, d 3.808, I = 17
- 29.77°, d 3.001, I = 17
- 45.25°, d 2.004, I = 17
- 37.34°, d 2.408, I = 15
- 49.33°, d 1.847, I = 15

Structural model:
Unit cell a=9.9122 b=9.9122 c=9.9122 alpha=114.18 beta=114.18 gamma=100.41
Fractional coordinates of all 38 atoms:
Ni 0.1816 0.6816 0.8633
Ni 0.3184 0.1816 0.5000
Ni 0.6816 0.8184 0.5000
Ni 0.8184 0.3184 0.1367
W 0.2500 0.2500 0.0000
W 0.7500 0.7500 0.0000
C 0.0054 0.0906 0.7858
C 0.0906 0.3048 0.0852
C 0.1952 0.4094 0.9148
C 0.2196 0.0054 0.9148
C 0.2804 0.1952 0.7858
C 0.3048 0.2196 0.2142
C 0.4094 0.4946 0.2142
C 0.4946 0.2804 0.0852
C 0.5054 0.7196 0.9148
C 0.5906 0.5054 0.7858
C 0.6952 0.7804 0.7858
C 0.7196 0.8048 0.2142
C 0.7804 0.9946 0.0852
C 0.8048 0.5906 0.0852
C 0.9094 0.6952 0.9148
C 0.9946 0.9094 0.2142
N 0.0028 0.6716 0.8755
N 0.1274 0.0028 0.3313
N 0.1716 0.5028 0.8755
N 0.2039 0.8726 0.8755
N 0.2961 0.1716 0.6687
N 0.3284 0.2039 0.3313
N 0.3726 0.7039 0.8755
N 0.4972 0.3726 0.6687
N 0.5028 0.6274 0.3313
N 0.6274 0.2961 0.1245
N 0.6716 0.7961 0.6687
N 0.7039 0.8284 0.3313
N 0.7961 0.1274 0.1245
N 0.8284 0.4972 0.1245
N 0.8726 0.9972 0.6687
N 0.9972 0.3284 0.1245

---

(5)
Computed powder X-ray diffraction pattern of DyY2Co6Ni3 for Cu Kα, 1.54184 Å, from a PBE-relaxed structure.
Peak positions follow from Bragg's law for the DFT cell and can differ from measured ones.

Most intense lines, 2θ = 15–90°, by intensity:
- 42.88°, d 2.109, I = 100
- 36.60°, d 2.455, I = 41
- 35.93°, d 2.499, I = 36
- 42.68°, d 2.118, I = 35
- 32.97°, d 2.716, I = 33
- 70.22°, d 1.340, I = 22
- 77.81°, d 1.228, I = 20
- 43.96°, d 2.060, I = 19
- 43.17°, d 2.095, I = 16
- 65.90°, d 1.417, I = 15
- 46.49°, d 1.953, I = 13
- 69.16°, d 1.358, I = 12

Structural model:
Unit cell a=8.7126 b=8.7126 c=8.7126 alpha=32.73 beta=32.73 gamma=32.73
Fractional coordinates of all 12 atoms:
Dy 0.0000 0.0000 0.0000
Y 0.1389 0.1389 0.1389
Y 0.8611 0.8611 0.8611
Co 0.0805 0.5809 0.5809
Co 0.4191 0.4191 0.9195
Co 0.4191 0.9195 0.4191
Co 0.5809 0.0805 0.5809
Co 0.5809 0.5809 0.0805
Co 0.9195 0.4191 0.4191
Ni 0.3333 0.3333 0.3333
Ni 0.5000 0.5000 0.5000
Ni 0.6667 0.6667 0.6667

---

(6)
Computed powder X-ray diffraction pattern of Ir4O11 for Cu Kα, 1.54184 Å, from a PBE-relaxed structure.
Peak positions follow from Bragg's law for the DFT cell and can differ from measured ones.

Most intense lines, 2θ = 15–90°, by intensity:
- 20.35°, d 4.363, I = 100
- 24.69°, d 3.606, I = 67
- 20.01°, d 4.437, I = 61
- 46.10°, d 1.969, I = 60
- 24.92°, d 3.573, I = 45
- 29.19°, d 3.059, I = 37
- 43.41°, d 2.084, I = 36
- 27.72°, d 3.218, I = 35
- 17.43°, d 5.088, I = 32
- 32.84°, d 2.728, I = 32
- 25.54°, d 3.488, I = 30
- 37.92°, d 2.373, I = 26

Structural model:
Unit cell a=4.6903 b=5.1399 c=8.4364 alpha=86.62 beta=75.08 gamma=81.98
Fractional coordinates of all 15 atoms:
Ir 0.0000 0.0000 0.0000
Ir 0.1000 0.2485 0.4418
Ir 0.3194 0.7342 0.2520
Ir 0.7141 0.2648 0.7913
O 0.0812 0.0779 0.2286
O 0.0964 0.3599 0.6552
O 0.2299 0.6531 0.0559
O 0.3177 0.9128 0.4488
O 0.3380 0.1517 0.8996
O 0.4650 0.3936 0.3220
O 0.6351 0.5753 0.8814
O 0.6661 0.8706 0.1258
O 0.7126 0.1805 0.5686
O 0.9398 0.9113 0.7968
O 0.9606 0.5906 0.3680

---

(7)
Computed powder X-ray diffraction pattern of Ta4Sn5Pt5 for Cu Kα, 1.54184 Å, from a PBE-relaxed structure.
Peak positions follow from Bragg's law for the DFT cell and can differ from measured ones.

Most intense lines, 2θ = 15–90°, by intensity:
- 40.85°, d 2.209, I = 100
- 24.68°, d 3.608, I = 47
- 74.44°, d 1.274, I = 19
- 48.37°, d 1.882, I = 14
- 59.24°, d 1.560, I = 10
- 74.24°, d 1.277, I = 10
- 48.20°, d 1.888, I = 9
- 88.44°, d 1.105, I = 6
- 58.95°, d 1.567, I = 5
- 65.02°, d 1.434, I = 5
- 16.76°, d 5.290, I = 5
- 35.81°, d 2.507, I = 5

Structural model:
Unit cell a=7.6470 b=7.6470 c=7.6470 alpha=99.67 beta=99.67 gamma=131.62
Fractional coordinates of all 14 atoms:
Ta 0.0959 0.6960 0.7977
Ta 0.3040 0.1017 0.3999
Ta 0.7019 0.9041 0.6001
Ta 0.8983 0.2981 0.2023
Sn 0.0000 0.0000 0.0000
Sn 0.2308 0.4233 0.6340
Sn 0.4032 0.7692 0.1924
Sn 0.5767 0.2107 0.8076
Sn 0.7893 0.5968 0.3660
Pt 0.0090 0.3325 0.8924
Pt 0.2500 0.7500 0.5000
Pt 0.4402 0.1166 0.1076
Pt 0.6675 0.5598 0.6764
Pt 0.8834 0.9910 0.3236

---

(8)
Computed powder X-ray diffraction pattern of NdMgCo2Ge2 for Cu Kα, 1.54184 Å, from a PBE-relaxed structure.
Peak positions follow from Bragg's law for the DFT cell and can differ from measured ones.

Most intense lines, 2θ = 15–90°, by intensity:
- 42.01°, d 2.151, I = 100
- 35.55°, d 2.525, I = 89
- 44.14°, d 2.052, I = 76
- 33.91°, d 2.643, I = 56
- 57.91°, d 1.592, I = 43
- 30.81°, d 2.902, I = 40
- 21.65°, d 4.104, I = 35
- 79.72°, d 1.203, I = 29
- 62.22°, d 1.492, I = 25
- 79.41°, d 1.207, I = 24
- 64.19°, d 1.451, I = 24
- 25.78°, d 3.456, I = 17

Structural model:
Unit cell a=4.1039 b=4.1039 c=6.4062 alpha=90.00 beta=90.00 gamma=90.00
Fractional coordinates of all 6 atoms:
Nd 0.0000 0.0000 0.0000
Mg 0.5000 0.5000 0.6385
Co 0.0000 0.5000 0.3453
Co 0.5000 0.0000 0.3453
Ge 0.0000 0.0000 0.5327
Ge 0.5000 0.5000 0.1499

---

(9)
Computed powder X-ray diffraction pattern of NaW6CCl18 for Cu Kα, 1.54184 Å, from a PBE-relaxed structure.
Peak positions follow from Bragg's law for the DFT cell and can differ from measured ones.

Most intense lines, 2θ = 15–90°, by intensity:
- 42.32°, d 2.136, I = 100
- 19.74°, d 4.497, I = 71
- 27.10°, d 3.291, I = 59
- 39.19°, d 2.299, I = 47
- 40.83°, d 2.210, I = 42
- 46.58°, d 1.950, I = 39
- 33.07°, d 2.709, I = 38
- 48.01°, d 1.895, I = 36
- 36.63°, d 2.453, I = 34
- 29.43°, d 3.035, I = 33
- 35.64°, d 2.519, I = 32
- 31.10°, d 2.876, I = 32

Structural model:
Unit cell a=9.2707 b=9.2707 c=18.0370 alpha=90.00 beta=90.00 gamma=120.00
Fractional coordinates of all 52 atoms:
Na 0.0000 0.0000 0.0000
Na 0.0000 0.0000 0.5000
W 0.1824 0.6962 0.1664
W 0.1824 0.6962 0.3336
W 0.3038 0.4863 0.1664
W 0.3038 0.4863 0.3336
W 0.4863 0.1824 0.6664
W 0.4863 0.1824 0.8336
W 0.5137 0.8176 0.1664
W 0.5137 0.8176 0.3336
W 0.6962 0.5137 0.6664
W 0.6962 0.5137 0.8336
W 0.8176 0.3038 0.6664
W 0.8176 0.3038 0.8336
C 0.3333 0.6667 0.2500
C 0.6667 0.3333 0.7500
Cl 0.0287 0.2637 0.6026
Cl 0.0287 0.2637 0.8974
Cl 0.0499 0.4809 0.7500
Cl 0.0875 0.2858 0.2500
Cl 0.1112 0.4804 0.0760
Cl 0.1112 0.4804 0.4240
Cl 0.1982 0.9125 0.2500
Cl 0.2350 0.9713 0.6026
Cl 0.2350 0.9713 0.8974
Cl 0.2637 0.2350 0.1026
Cl 0.2637 0.2350 0.3974
Cl 0.2858 0.1982 0.7500
Cl 0.3692 0.8888 0.0760
Cl 0.3692 0.8888 0.4240
Cl 0.4310 0.9501 0.7500
Cl 0.4804 0.3692 0.5760
Cl 0.4804 0.3692 0.9240
Cl 0.4809 0.4310 0.2500
Cl 0.5191 0.5690 0.7500
Cl 0.5196 0.6308 0.0760
Cl 0.5196 0.6308 0.4240
Cl 0.5690 0.0499 0.2500
Cl 0.6308 0.1112 0.5760
Cl 0.6308 0.1112 0.9240
Cl 0.7142 0.8018 0.2500
Cl 0.7363 0.7650 0.6026
Cl 0.7363 0.7650 0.8974
Cl 0.7650 0.0287 0.1026
Cl 0.7650 0.0287 0.3974
Cl 0.8018 0.0875 0.7500
Cl 0.8888 0.5196 0.5760
Cl 0.8888 0.5196 0.9240
Cl 0.9125 0.7142 0.7500
Cl 0.9501 0.5191 0.2500
Cl 0.9713 0.7363 0.1026
Cl 0.9713 0.7363 0.3974

---

(10)
Computed powder X-ray diffraction pattern of Li4Cd2GaHg for Cu Kα, 1.54184 Å, from a PBE-relaxed structure.
Peak positions follow from Bragg's law for the DFT cell and can differ from measured ones.

Most intense lines, 2θ = 15–90°, by intensity:
- 23.51°, d 3.783, I = 100
- 38.87°, d 2.317, I = 95
- 45.93°, d 1.976, I = 50
- 70.42°, d 1.337, I = 21
- 61.70°, d 1.503, I = 20
- 75.41°, d 1.260, I = 11
- 56.19°, d 1.637, I = 11
- 88.27°, d 1.107, I = 11
- 19.17°, d 4.630, I = 11
- 70.32°, d 1.339, I = 10
- 30.51°, d 2.930, I = 10
- 83.40°, d 1.159, I = 6

Structural model:
Unit cell a=4.6298 b=4.6298 c=6.5640 alpha=90.00 beta=90.00 gamma=90.00
Fractional coordinates of all 8 atoms:
Li 0.0000 0.0000 0.0000
Li 0.0000 0.5000 0.2448
Li 0.5000 0.0000 0.7552
Li 0.5000 0.5000 0.5000
Cd 0.0000 0.5000 0.7659
Cd 0.5000 0.0000 0.2341
Ga 0.5000 0.5000 0.0000
Hg 0.0000 0.0000 0.5000

---

(11)
Computed powder X-ray diffraction pattern of ReIr for Cu Kα, 1.54184 Å, from a PBE-relaxed structure.
Peak positions follow from Bragg's law for the DFT cell and can differ from measured ones.

Most intense lines, 2θ = 15–90°, by intensity:
- 43.00°, d 2.103, I = 100
- 41.00°, d 2.201, I = 25
- 37.57°, d 2.394, I = 24
- 82.38°, d 1.171, I = 21
- 76.07°, d 1.251, I = 19
- 67.79°, d 1.382, I = 18
- 83.73°, d 1.155, I = 15
- 56.82°, d 1.620, I = 15
- 88.93°, d 1.101, I = 3
- 80.18°, d 1.197, I = 3

Structural model:
Unit cell a=2.7646 b=2.7646 c=4.4024 alpha=90.00 beta=90.00 gamma=120.00
Fractional coordinates of all 2 atoms:
Re 0.0000 0.0000 0.0000
Ir 0.3333 0.6667 0.5000

---

(12)
Computed powder X-ray diffraction pattern of Dy3HoSc2Bi2Os for Cu Kα, 1.54184 Å, from a PBE-relaxed structure.
Peak positions follow from Bragg's law for the DFT cell and can differ from measured ones.

Most intense lines, 2θ = 15–90°, by intensity:
- 30.63°, d 2.919, I = 100
- 33.26°, d 2.694, I = 89
- 38.63°, d 2.331, I = 57
- 40.25°, d 2.241, I = 53
- 22.02°, d 4.037, I = 42
- 59.01°, d 1.565, I = 34
- 61.88°, d 1.500, I = 33
- 33.92°, d 2.643, I = 29
- 42.80°, d 2.113, I = 28
- 24.61°, d 3.617, I = 22
- 51.88°, d 1.762, I = 16
- 64.98°, d 1.435, I = 15

Structural model:
Unit cell a=4.2260 b=8.0712 c=8.0712 alpha=119.94 beta=90.00 gamma=90.00
Fractional coordinates of all 9 atoms:
Dy 0.0000 0.0000 0.0000
Dy 0.0000 0.3792 0.7690
Dy 0.0000 0.7690 0.3792
Ho 0.5000 0.6105 0.6105
Sc 0.5000 0.1563 0.3813
Sc 0.5000 0.3813 0.1563
Bi 0.5000 0.0541 0.7163
Bi 0.5000 0.7163 0.0541
Os 0.0000 0.3707 0.3707